Structure and theoretical powder diffraction line list of GaPH9C3Cl3O (a cell relaxed with GGA-PBE; λ = 1.5418 Å (Cu Kα)).
Neutral-atom scattering factors, no anomalous dispersion.

Peak list (12 most intense, 2θ = 10–90°, in order of falling intensity)
| 2theta | Rel. int. |
| --- | --- |
| 16.45 | 100 |
| 14.07 | 79 |
| 22.98 | 52 |
| 16.59 | 48 |
| 27.48 | 26 |
| 22.76 | 24 |
| 28.85 | 23 |
| 28.30 | 19 |
| 28.60 | 15 |
| 40.93 | 14 |
| 27.29 | 14 |
| 50.82 | 14 |

Structure:
Lattice parameters (Å, degrees): 6.8313 6.8313 12.9113 98.61 98.61 102.95
Element x y z (fractional)
Ga  0.2478  0.7522  0.5000
Ga  0.7522  0.2478  0.0000
P  0.0629  0.5642  0.6936
P  0.5642  0.0629  0.1936
H  0.0861  0.8463  0.8326
H  0.2382  0.9343  0.0760
H  0.2449  0.8280  0.1946
H  0.2482  0.4060  0.8145
H  0.3421  0.4056  0.6923
H  0.3689  0.7366  0.0915
H  0.4060  0.2482  0.3145
H  0.4056  0.3421  0.1923
H  0.4059  0.6366  0.7912
H  0.6141  0.9323  0.3564
H  0.6366  0.4059  0.2912
H  0.7366  0.3689  0.5915
H  0.7443  0.8306  0.2586
H  0.8280  0.2449  0.6946
H  0.8306  0.7443  0.7586
H  0.8463  0.0861  0.3326
H  0.9323  0.6141  0.8564
H  0.9343  0.2382  0.5760
C  0.2867  0.4968  0.7535
C  0.3319  0.8721  0.1331
C  0.4968  0.2867  0.2535
C  0.7048  0.9688  0.2953
C  0.8721  0.3319  0.6331
C  0.9688  0.7048  0.7953
Cl  0.0706  0.2586  0.9870
Cl  0.0767  0.5438  0.3526
Cl  0.2586  0.0706  0.4870
Cl  0.5438  0.0767  0.8526
Cl  0.5563  0.7097  0.5399
Cl  0.7097  0.5563  0.0399
O  0.1075  0.7031  0.6113
O  0.7031  0.1075  0.1113